1.
Structure and computed XRD peak list of ZnCd7 (DFT lattice parameters and positions (PBE); Cu Kα (weighted mean of Kα1 and Kα2)).
No peak broadening, texture or thermal motion is included.

Main lines, low angle first (5 to 70 degrees two-theta):
two_theta  d [Å]  intensity  h k l
20.72  4.287  0.9  1 0 1
25.08  3.551  0.7  1 0 3
29.90  2.988  0.6  0 0 6
30.32  2.948  0.9  1 1 2
35.03  2.562  100.0  1 1 4
40.24  2.241  16.6  0 0 8
40.88  2.207  32.4  2 0 0
51.47  1.775  0.5  2 0 6
58.71  1.573  20.8  2 0 8
59.20  1.561  10.4  2 2 0
59.46  1.555  0.7  1 1 10
69.79  1.348  11.8  1 1 12

Cell: 4.415 4.415 17.928 Å, 90.00 90.00 90.00°
Space group I4/mmm (No. 139)
Inequivalent atoms, fractional coordinates:
Zn 0.000 0.000 0.000 x2
Cd 0.000 0.000 0.249 x4
Cd 0.000 0.000 0.500 x2
Cd 0.000 0.500 0.121 x8

2.
Structure and computed XRD peak list of ZnCd3 (DFT lattice parameters and positions (PBE); Cu Kα (weighted mean of Kα1 and Kα2)).
No peak broadening, texture or thermal motion is included.

Main lines, low angle first (5 to 70 degrees two-theta):
two_theta  d [Å]  intensity  h k l
32.45  2.759  55.3  2 0 0
34.93  2.568  23.9  0 2 1
35.21  2.549  9.8  0 0 2
38.67  2.329  100.0  1 2 1
38.92  2.314  52.0  1 0 2
48.42  1.880  18.4  2 2 1
48.63  1.872  7.6  2 0 2
62.06  1.496  23.4  3 2 1
62.24  1.492  12.3  3 0 2
62.47  1.487  7.8  0 4 0
63.01  1.475  15.1  0 2 3
67.94  1.380  6.0  4 0 0

Cell: 5.519 5.947 5.098 Å, 90.00 90.00 90.00°
Space group Pmmn (No. 59, origin choice 2)
Inequivalent atoms, fractional coordinates:
Zn 0.250 0.250 0.166 x2
Cd 0.250 0.004 0.665 x4
Cd 0.250 0.750 0.160 x2